# 1
The following is a theoretical XRD peak list of AgBi3PbS6. It was derived from a cell relaxed with GGA-PBE, using Cu Kα (weighted mean of Kα1 and Kα2).
Neutral-atom scattering factors, no anomalous dispersion.

Most intense lines, 10 to 90 degrees two-theta, by angle:
| two_theta | I/Imax | index |
| --- | --- | --- |
| 24.40 | 42 | 1 1 2 |
| 25.76 | 100 | 0 2 5 |
| 26.40 | 57 | 1 1 3 |
| 29.49 | 51 | 1 3 1 |
| 30.52 | 84 | 1 3 2 |
| 39.10 | 34 | 1 1 7 |
| 43.03 | 37 | 1 1 8 |
| 43.35 | 29 | 1 5 4 |
| 45.53 | 32 | 0 0 10 |
| 51.98 | 37 | 2 2 5 |

Cell and atoms:
abc: 4.086 13.901 19.934
angles: 90.00 90.00 90.00
Space group Cmc2_1 (No. 36)
One atom of each set of equivalent atoms:
Ag1 0.000 0.047 0.000 [4 per cell]
Bi1 0.000 0.100 0.214 [4 per cell]
Bi2 0.000 0.354 0.907 [4 per cell]
Bi3 0.000 0.371 0.312 [4 per cell]
Pb1 0.000 0.184 0.603 [4 per cell]
S1 0.000 0.015 0.864 [4 per cell]
S2 0.000 0.171 0.094 [4 per cell]
S3 0.000 0.257 0.756 [4 per cell]
S4 0.000 0.264 0.440 [4 per cell]
S5 0.000 0.433 0.022 [4 per cell]
S6 0.000 0.469 0.190 [4 per cell]

***

# 2
The following is a theoretical XRD peak list of Hg8SbPb5. It was derived from a cell relaxed with GGA-PBE, using Cu Kα (weighted mean of Kα1 and Kα2).
Neutral-atom scattering factors, no anomalous dispersion.

Most intense lines, 10 to 90 degrees two-theta, by angle:
| two_theta | I/Imax | index |
| --- | --- | --- |
| 30.27 | 100 | 3 1 0 |
| 30.55 | 42 | 1 0 3 |
| 33.34 | 13 | 2 2 2 |
| 36.04 | 71 | 2 3 1 |
| 36.22 | 59 | 1 2 3 |
| 43.35 | 15 | 2 4 0 |
| 57.70 | 13 | 5 0 3 |
| 61.19 | 17 | 1 6 1 |
| 62.93 | 12 | 6 2 0 |
| 68.71 | 13 | 3 1 6 |

Cell and atoms:
abc: 9.343 9.343 9.244
angles: 90.00 90.00 90.00
Space group I-4 (No. 82)
One atom of each set of equivalent atoms:
Hg1 0.066 0.333 0.423 [8 per cell]
Hg2 0.096 0.178 0.751 [8 per cell]
Sb1 0.000 0.000 0.500 [2 per cell]
Pb1 0.000 0.500 0.750 [2 per cell]
Pb2 0.113 0.216 0.087 [8 per cell]

***

# 3
The following is a theoretical XRD peak list of AlAsPBr2. It was derived from a cell relaxed with GGA-PBE, using Cu Kα (weighted mean of Kα1 and Kα2).
Neutral-atom scattering factors, no anomalous dispersion.

Most intense lines, 10 to 90 degrees two-theta, by angle:
| two_theta | I/Imax | index |
| --- | --- | --- |
| 16.14 | 43 | 1 0 0 |
| 18.51 | 75 | 0 0 1 |
| 24.65 | 25 | 1 0 1 |
| 29.60 | 61 | 1 1 1 |
| 32.60 | 100 | 2 0 0 |
| 37.53 | 34 | 0 0 2 |
| 37.75 | 50 | 2 0 1 |
| 46.78 | 35 | 2 2 0 |
| 50.55 | 56 | 2 0 2 |
| 61.46 | 31 | 2 2 2 |

Cell and atoms:
abc: 5.493 5.493 4.792
angles: 90.00 90.00 90.00
Space group P4/mmm (No. 123)
One atom of each set of equivalent atoms:
Al1 0.000 0.000 0.000 [1 per cell]
As1 0.500 0.500 0.500 [1 per cell]
P1 0.500 0.500 0.000 [1 per cell]
Br1 0.000 0.500 0.500 [2 per cell]

***

# 4
The following is a theoretical XRD peak list of GdDy2Ti. It was derived from a cell relaxed with GGA-PBE, using Cu Kα (weighted mean of Kα1 and Kα2).
Neutral-atom scattering factors, no anomalous dispersion.

Most intense lines, 10 to 90 degrees two-theta, by angle:
| two_theta | I/Imax | index |
| --- | --- | --- |
| 26.32 | 11 | 1 1 0 |
| 32.39 | 100 | 1 1 1 |
| 37.50 | 34 | 2 0 0 |
| 37.72 | 17 | 0 0 2 |
| 54.08 | 12 | 2 2 0 |
| 54.25 | 23 | 2 0 2 |
| 64.46 | 27 | 3 1 1 |
| 64.77 | 13 | 1 1 3 |
| 67.81 | 12 | 2 2 2 |
| 89.25 | 12 | 3 1 3 |

Cell and atoms:
abc: 4.797 4.797 4.769
angles: 90.00 90.00 90.00
Space group P4/mmm (No. 123)
One atom of each set of equivalent atoms:
Gd1 0.000 0.000 0.000 [1 per cell]
Dy1 0.000 0.500 0.500 [2 per cell]
Ti1 0.500 0.500 0.000 [1 per cell]

***

# 5
The following is a theoretical XRD peak list of La7Y2Th2. It was derived from a cell relaxed with GGA-PBE, using Cu Kα (weighted mean of Kα1 and Kα2).
Neutral-atom scattering factors, no anomalous dispersion.

Most intense lines, 10 to 90 degrees two-theta, by angle:
| two_theta | I/Imax | index |
| --- | --- | --- |
| 26.01 | 20 | 0 2 1 |
| 28.04 | 46 | 0 1 3 |
| 29.61 | 98 | 1 1 -2 |
| 30.19 | 89 | 1 2 1 |
| 30.40 | 100 | 2 0 0 |
| 31.98 | 96 | 1 0 3 |
| 32.56 | 24 | -1 2 2 |
| 33.99 | 56 | 1 2 -1 |
| 41.83 | 31 | 2 1 3 |
| 55.02 | 21 | 3 0 3 |

Cell and atoms:
abc: 5.880 6.898 9.829
angles: 76.28 89.95 89.92
Space group P-1 (No. 2)
One atom of each set of equivalent atoms:
La1 0.000 0.000 0.000 [1 per cell]
La2 0.000 0.406 0.179 [2 per cell]
La3 0.500 0.013 0.687 [2 per cell]
La4 0.500 0.441 0.361 [2 per cell]
Y1 0.500 0.273 0.975 [2 per cell]
Th1 0.000 0.246 0.573 [2 per cell]

***

# 6
The following is a theoretical XRD peak list of TbMg7Cd2In. It was derived from a cell relaxed with GGA-PBE, using Cu Kα (weighted mean of Kα1 and Kα2).
Neutral-atom scattering factors, no anomalous dispersion.

Most intense lines, 10 to 90 degrees two-theta, by angle:
| two_theta | I/Imax | index |
| --- | --- | --- |
| 20.34 | 20 | 1 0 1 |
| 22.27 | 64 | 1 0 3 |
| 34.58 | 100 | 1 1 6 |
| 35.37 | 19 | 1 0 9 |
| 38.73 | 18 | 0 0 12 |
| 40.84 | 32 | 2 0 0 |
| 47.01 | 20 | 2 1 3 |
| 57.54 | 22 | 2 0 12 |
| 67.44 | 13 | 1 1 18 |
| 70.34 | 24 | 3 1 6 |

Cell and atoms:
abc: 4.419 4.419 27.902
angles: 90.00 90.00 90.00
Space group I-4m2 (No. 119)
One atom of each set of equivalent atoms:
Tb1 0.000 0.000 0.000 [2 per cell]
Mg1 0.000 0.000 0.167 [4 per cell]
Mg2 0.000 0.000 0.331 [4 per cell]
Mg3 0.000 0.500 0.250 [2 per cell]
Mg4 0.000 0.500 0.587 [4 per cell]
Cd1 0.000 0.500 0.086 [4 per cell]
In1 0.000 0.500 0.750 [2 per cell]

***

# 7
The following is a theoretical XRD peak list of Zr4InTc. It was derived from a cell relaxed with GGA-PBE, using Cu Kα (weighted mean of Kα1 and Kα2).
Neutral-atom scattering factors, no anomalous dispersion.

Most intense lines, 10 to 90 degrees two-theta, by angle:
| two_theta | I/Imax | index |
| --- | --- | --- |
| 22.94 | 51 | 2 0 0 |
| 23.95 | 14 | 0 0 2 |
| 26.85 | 15 | 2 0 -2 |
| 37.68 | 100 | 0 2 0 |
| 38.98 | 77 | 1 1 -3 |
| 45.14 | 16 | 3 1 -3 |
| 55.33 | 27 | 4 0 -4 |
| 67.97 | 11 | 3 3 -1 |
| 68.85 | 18 | 4 2 -4 |
| 68.95 | 9 | 5 1 1 |

Cell and atoms:
abc: 8.262 4.780 7.926
angles: 90.00 110.37 90.00
Space group C2/m (No. 12)
One atom of each set of equivalent atoms:
Zr1 0.114 0.000 0.344 [4 per cell]
Zr2 0.135 0.500 0.905 [4 per cell]
In1 0.000 0.500 0.500 [2 per cell]
Tc1 0.000 0.000 0.000 [2 per cell]

***

# 8
The following is a theoretical XRD peak list of LiMgSn4. It was derived from a cell relaxed with GGA-PBE, using Cu Kα (weighted mean of Kα1 and Kα2).
Neutral-atom scattering factors, no anomalous dispersion.

Most intense lines, 10 to 90 degrees two-theta, by angle:
| two_theta | I/Imax | index |
| --- | --- | --- |
| 25.12 | 99 | 0 2 0 |
| 26.55 | 100 | 0 0 2 |
| 27.45 | 96 | 2 0 0 |
| 35.79 | 60 | 2 0 -2 |
| 36.87 | 95 | 0 2 2 |
| 37.54 | 93 | 2 2 0 |
| 41.16 | 42 | 2 0 2 |
| 42.26 | 29 | 1 3 -1 |
| 44.23 | 43 | 2 2 -2 |
| 48.83 | 33 | 2 2 2 |

Cell and atoms:
abc: 6.558 7.091 6.776
angles: 90.00 97.68 90.00
Space group C2/m (No. 12)
One atom of each set of equivalent atoms:
Li1 0.000 0.000 0.000 [2 per cell]
Mg1 0.000 0.500 0.500 [2 per cell]
Sn1 0.248 0.217 0.766 [8 per cell]

***

# 9
The following is a theoretical XRD peak list of Cd2In5Pb. It was derived from a cell relaxed with GGA-PBE, using Cu Kα (weighted mean of Kα1 and Kα2).
Neutral-atom scattering factors, no anomalous dispersion.

Most intense lines, 10 to 90 degrees two-theta, by angle:
| two_theta | I/Imax | index |
| --- | --- | --- |
| 32.69 | 100 | 1 1 4 |
| 37.54 | 35 | 2 0 0 |
| 38.70 | 15 | 0 0 8 |
| 54.13 | 12 | 2 2 0 |
| 55.01 | 21 | 2 0 8 |
| 64.69 | 27 | 3 1 4 |
| 66.27 | 10 | 1 1 12 |
| 68.51 | 11 | 2 2 8 |
| 80.10 | 4 | 4 0 0 |
| 89.23 | 6 | 3 3 4 |

Cell and atoms:
abc: 4.792 4.792 18.613
angles: 90.00 90.00 90.00
Space group I4/mmm (No. 139)
One atom of each set of equivalent atoms:
Cd1 0.000 0.000 0.249 [4 per cell]
In1 0.000 0.000 0.000 [2 per cell]
In2 0.000 0.500 0.134 [8 per cell]
Pb1 0.000 0.000 0.500 [2 per cell]

***

# 10
The following is a theoretical XRD peak list of NdSiMo. It was derived from a cell relaxed with GGA-PBE, using Cu Kα (weighted mean of Kα1 and Kα2).
Neutral-atom scattering factors, no anomalous dispersion.

Most intense lines, 10 to 90 degrees two-theta, by angle:
| two_theta | I/Imax | index |
| --- | --- | --- |
| 25.10 | 51 | 1 0 1 |
| 31.81 | 85 | 1 0 2 |
| 33.61 | 38 | 0 0 3 |
| 33.94 | 100 | 1 1 1 |
| 39.29 | 57 | 1 1 2 |
| 45.86 | 49 | 2 0 0 |
| 56.56 | 29 | 1 1 4 |
| 56.89 | 32 | 2 1 2 |
| 58.04 | 31 | 2 0 3 |
| 77.14 | 18 | 3 1 1 |

Cell and atoms:
abc: 3.958 3.958 8.000
angles: 90.00 90.00 90.00
Space group P4/nmm (No. 129, origin choice 2)
One atom of each set of equivalent atoms:
Nd1 0.250 0.250 0.148 [2 per cell]
Si1 0.250 0.250 0.716 [2 per cell]
Mo1 0.250 0.750 0.500 [2 per cell]